[1]
Diffraction record for Ca2H2S2O9. The powder diffraction line list is calculated, not measured: it uses a DFT-relaxed cell (PBE, the Materials Project) and copper Kα.
No peak broadening, texture or thermal motion is included.

Principal peaks in the range 2θ from 10° to 90°, most intense first:
2θ 29.29, I 100, (2 2 -2); 2θ 14.52, I 94, (2 0 -2); 2θ 31.53, I 60, (3 1 1); 2θ 25.29, I 53, (3 1 -3); 2θ 31.72, I 41, (6 0 -2); 2θ 48.47, I 24, (1 1 -5); 2θ 48.91, I 23, (8 2 -4); 2θ 48.75, I 21, (5 3 -1); 2θ 53.28, I 16, (1 3 3); 2θ 54.22, I 13, (5 3 -5)

Crystal structure
Cell: 17.5771 7.0422 12.2004 Å, 90.00 133.36 90.00°
Space group C2 (No. 5)
Symmetry-distinct sites (fractional):
Ca 0.0000 0.9997 0.0000 x2
Ca 0.0000 0.5000 0.5000 x2
Ca 0.1629 0.3352 0.9437 x4
Ca 0.1644 0.7986 0.4255 x4
H 0.0366 0.0810 0.5875 x4
H 0.1533 0.4562 0.1740 x4
H 0.2018 0.6234 0.1566 x4
S 0.0812 0.8316 0.8059 x4
S 0.0868 0.3114 0.3120 x4
S 0.2486 0.9979 0.2481 x4
O 0.0000 0.1634 0.5000 x2
O 0.0108 0.3879 0.3177 x4
O 0.0116 0.7830 0.6427 x4
O 0.0119 0.8384 0.8362 x4
O 0.0259 0.2567 0.1530 x4
O 0.1340 0.0160 0.8377 x4
O 0.1485 0.1491 0.4168 x4
O 0.1596 0.5094 0.1065 x4
O 0.1649 0.6862 0.9039 x4
O 0.1655 0.4631 0.3614 x4
O 0.1719 0.1132 0.1094 x4
O 0.1800 0.6213 0.6154 x4
O 0.1849 0.3816 0.7603 x4
O 0.1846 0.8725 0.2572 x4



[2]
Diffraction record for Ca2TlHg. The powder diffraction line list is calculated, not measured: it uses a DFT-relaxed cell (PBE, the Materials Project) and copper Kα.
No peak broadening, texture or thermal motion is included.

Principal peaks in the range 2θ from 10° to 90°, most intense first:
2θ 32.99, I 100, (2 2 0); 2θ 23.16, I 50, (2 0 0); 2θ 58.92, I 38, (4 2 2); 2θ 53.35, I 23, (4 2 0); 2θ 47.35, I 18, (4 0 0); 2θ 78.83, I 16, (6 2 0); 2θ 40.70, I 16, (2 2 2); 2θ 69.21, I 12, (4 4 0); 2θ 74.07, I 11, (6 0 0); 2θ 83.50, I 7, (6 2 2)

Crystal structure
Cell: 7.6794 7.6794 7.6794 Å, 90.00 90.00 90.00°
Space group Fm-3m (No. 225)
Symmetry-distinct sites (fractional):
Ca 0.2500 0.2500 0.2500 x8
Tl 0.0000 0.0000 0.0000 x4
Hg 0.0000 0.0000 0.5000 x4



[3]
Diffraction record for Y2AlN3. The powder diffraction line list is calculated, not measured: it uses a DFT-relaxed cell (PBE, the Materials Project) and copper Kα.
No peak broadening, texture or thermal motion is included.

Principal peaks in the range 2θ from 10° to 90°, most intense first:
2θ 32.37, I 100, (2 0 0); 2θ 31.18, I 93, (1 3 1); 2θ 34.20, I 53, (1 3 2); 2θ 30.14, I 53, (1 1 3); 2θ 37.04, I 31, (1 1 4); 2θ 24.16, I 27, (1 1 2); 2θ 34.94, I 27, (0 4 1); 2θ 38.79, I 26, (1 3 3); 2θ 46.19, I 26, (2 0 4); 2θ 44.25, I 25, (2 2 3)

Crystal structure
Cell: 5.5310 10.5541 11.1756 Å, 90.00 90.00 90.00°
Space group Cmce (No. 64)
Symmetry-distinct sites (fractional):
Y 0.0000 0.0287 0.1507 x8
Y 0.0000 0.1418 0.5767 x8
Al 0.0000 0.2495 0.8370 x8
N 0.0000 0.0733 0.3619 x8
N 0.0000 0.1518 0.9807 x8
N 0.2500 0.1788 0.7500 x8



[4]
Diffraction record for DyFe4Ge2. The powder diffraction line list is calculated, not measured: it uses a DFT-relaxed cell (PBE, the Materials Project) and copper Kα.
No peak broadening, texture or thermal motion is included.

Principal peaks in the range 2θ from 10° to 90°, most intense first:
2θ 36.13, I 100, (2 1 1); 2θ 45.97, I 46, (3 1 1); 2θ 39.23, I 39, (3 1 0); 2θ 34.94, I 31, (2 2 0); 2θ 42.26, I 30, (2 2 1); 2θ 47.03, I 29, (0 0 2); 2θ 69.08, I 20, (4 3 1); 2θ 26.12, I 20, (1 0 1); 2θ 62.85, I 19, (3 1 2); 2θ 57.50, I 14, (4 1 1)

Crystal structure
Cell: 7.2624 7.2624 3.8644 Å, 90.00 90.00 90.00°
Space group P4_2/mnm (No. 136)
Symmetry-distinct sites (fractional):
Dy 0.0000 0.0000 0.0000 x2
Fe 0.0912 0.3561 0.5000 x8
Ge 0.2150 0.7850 0.5000 x4